Li2Cr3O6: theoretical powder diffraction line list (Cu Kα), based on a DFT-relaxed cell (PBE+U, Alexandria).
Neutral-atom scattering factors, no anomalous dispersion.

Main lines, sorted by position (2θ = 5–70°):
2θ/deg, I (rel.)
17.6, 100
35.5, 12
36.7, 16
39.6, 15
42.9, 18
45.9, 14
51.0, 13
56.1, 9
60.2, 8
63.4, 8

Crystal structure
a = 5.1499 Å, b = 5.1499 Å, c = 10.3217 Å
α = 100.71°, β = 100.71°, γ = 59.31°
Fractional positions:
1 Li 0.1086 0.8914 0.5000
2 Li 0.5460 0.7698 0.9969
3 Li 0.7698 0.5460 0.4969
4 Li 0.8914 0.1086 0.0000
5 Cr 0.1624 0.1863 0.7533
6 Cr 0.1863 0.1624 0.2533
7 Cr 0.4891 0.5137 0.7401
8 Cr 0.5137 0.4891 0.2401
9 Cr 0.8247 0.8503 0.7457
10 Cr 0.8503 0.8247 0.2457
11 O 0.1132 0.5055 0.6436
12 O 0.1418 0.8174 0.1458
13 O 0.1839 0.8745 0.8530
14 O 0.1951 0.5382 0.3484
15 O 0.4661 0.8238 0.6394
16 O 0.5055 0.1132 0.1436
17 O 0.5382 0.1951 0.8484
18 O 0.5611 0.8334 0.3464
19 O 0.8174 0.1418 0.6458
20 O 0.8238 0.4661 0.1394
21 O 0.8334 0.5611 0.8464
22 O 0.8745 0.1839 0.3530